Starting from a cell relaxed with PBE, the X-ray diffraction stick pattern of Na5AlP2O8F2 was computed for Cu Kα.
Lines closer than 0.1° are merged.

Principal peaks in the range 2θ from 5° to 70°, in order of falling intensity:
| d (Å) | 2θ/deg | intensity | (hkl) |
| --- | --- | --- | --- |
| 2.646 | 33.87 | 100 | 2 2 0 |
| 3.779 | 23.55 | 66 | 0 2 1 |
| 2.698 | 33.21 | 62 | 2 0 2 |
| 1.889 | 48.17 | 61 | 0 4 2 |
| 1.538 | 60.18 | 29 | 6 -2 2 |
| 2.404 | 37.41 | 26 | 2 1 2 |
| 1.411 | 66.21 | 26 | 2 2 4 |
| 2.823 | 31.70 | 25 | 2 -1 2 |
| 2.254 | 40.01 | 24 | 3 0 2 |
| 1.528 | 60.60 | 21 | 6 0 0 |
| 3.136 | 28.46 | 21 | 1 0 2 |
| 9.167 | 9.65 | 21 | 1 0 0 |

Structural model:
Cell lengths 10.5857, 10.5857, 6.6746 Å; angles 90.00, 90.00, 120.00 degrees
Sites, in units of the cell vectors:
Na (0.0000, 0.0000, 0.0000)
Na (0.0000, 0.0000, 0.5000)
Na (0.0000, 0.5000, 0.0000)
Na (0.1466, 0.3157, 0.2661)
Na (0.1691, 0.8534, 0.2661)
Na (0.3157, 0.1691, 0.7339)
Na (0.3333, 0.6667, 0.0834)
Na (0.3333, 0.6667, 0.5274)
Na (0.5000, 0.0000, 0.0000)
Na (0.5000, 0.5000, 0.0000)
Na (0.6667, 0.3333, 0.4726)
Na (0.6667, 0.3333, 0.9166)
Na (0.6843, 0.8309, 0.2661)
Na (0.8309, 0.1466, 0.7339)
Na (0.8534, 0.6843, 0.7339)
Al (0.0000, 0.5000, 0.5000)
Al (0.5000, 0.0000, 0.5000)
Al (0.5000, 0.5000, 0.5000)
P (0.1844, 0.3707, 0.7493)
P (0.1863, 0.8156, 0.7493)
P (0.3707, 0.1863, 0.2507)
P (0.6293, 0.8137, 0.7493)
P (0.8137, 0.1844, 0.2507)
P (0.8156, 0.6293, 0.2507)
O (0.0803, 0.6505, 0.7001)
O (0.0989, 0.2021, 0.7437)
O (0.1032, 0.9011, 0.7437)
O (0.1266, 0.4307, 0.5791)
O (0.1752, 0.4312, 0.9549)
O (0.2021, 0.1032, 0.2563)
O (0.2560, 0.8248, 0.9549)
O (0.3041, 0.8734, 0.5791)
O (0.3495, 0.4298, 0.7001)
O (0.4298, 0.0803, 0.2999)
O (0.4312, 0.2560, 0.0451)
O (0.4307, 0.3041, 0.4209)
O (0.5693, 0.6959, 0.5791)
O (0.5688, 0.7440, 0.9549)
O (0.5702, 0.9197, 0.7001)
O (0.6505, 0.5702, 0.2999)
O (0.6959, 0.1266, 0.4209)
O (0.7440, 0.1752, 0.0451)
O (0.7979, 0.8968, 0.7437)
O (0.8248, 0.5688, 0.0451)
O (0.8734, 0.5693, 0.4209)
O (0.8968, 0.0989, 0.2563)
O (0.9011, 0.7979, 0.2563)
O (0.9197, 0.3495, 0.2999)
F (0.1372, 0.6155, 0.3102)
F (0.3845, 0.5217, 0.3102)
F (0.4783, 0.8628, 0.3102)
F (0.5217, 0.1372, 0.6898)
F (0.6155, 0.4783, 0.6898)
F (0.8628, 0.3845, 0.6898)